Computed X-ray diffraction stick pattern
Compound: TbNd3Te4
Radiation: Cu Kα
Structure: the GGA-PBE geometry in Alexandria
Peak positions follow from Bragg's law for the DFT cell and can differ from measured ones.

Cell and atoms:
Lattice parameters (Å, degrees): 4.3625 4.3625 30.6467 90.00 90.00 120.00
Sites, in units of the cell vectors:
1 Tb 0.3333 0.6667 0.2500
2 Tb 0.6667 0.3333 0.7500
3 Nd 0.0000 0.0000 0.0000
4 Nd 0.0000 0.0000 0.5000
5 Nd 0.3333 0.6667 0.6252
6 Nd 0.3333 0.6667 0.8748
7 Nd 0.6667 0.3333 0.1252
8 Nd 0.6667 0.3333 0.3748
9 Te 0.0000 0.0000 0.1891
10 Te 0.0000 0.0000 0.3109
11 Te 0.0000 0.0000 0.6891
12 Te 0.0000 0.0000 0.8109
13 Te 0.3333 0.6667 0.0630
14 Te 0.3333 0.6667 0.4370
15 Te 0.6667 0.3333 0.5630
16 Te 0.6667 0.3333 0.9370

Principal peaks in the range 2θ from 10° to 90°, low angle first:
| 2θ (°) | d (Å) | I/Imax |
| --- | --- | --- |
| 26.30 | 3.388 | 22 |
| 27.74 | 3.216 | 100 |
| 29.41 | 3.037 | 74 |
| 37.80 | 2.380 | 42 |
| 40.22 | 2.242 | 37 |
| 41.40 | 2.181 | 77 |
| 47.47 | 1.915 | 17 |
| 50.56 | 1.805 | 19 |
| 64.77 | 1.439 | 40 |
| 67.33 | 1.391 | 16 |

=====

Computed X-ray diffraction stick pattern
Compound: GaSn3Ir
Radiation: Cu Kα
Structure: the GGA-PBE geometry in Alexandria
Peak positions follow from Bragg's law for the DFT cell and can differ from measured ones.

Cell and atoms:
Lattice parameters (Å, degrees): 6.7332 6.7332 6.5006 118.18 118.18 78.67
Sites, in units of the cell vectors:
1 Ga 0.0567 0.0567 0.2547
2 Ga 0.9433 0.9433 0.7453
3 Sn 0.0167 0.4011 0.7360
4 Sn 0.4011 0.0167 0.7360
5 Sn 0.4359 0.4359 0.6744
6 Sn 0.5641 0.5641 0.3256
7 Sn 0.5989 0.9833 0.2640
8 Sn 0.9833 0.5989 0.2640
9 Ir 0.2436 0.2436 0.1196
10 Ir 0.7564 0.7564 0.8804

Principal peaks in the range 2θ from 10° to 90°, low angle first:
| 2θ (°) | d (Å) | I/Imax |
| --- | --- | --- |
| 20.81 | 4.268 | 50 |
| 21.55 | 4.125 | 75 |
| 31.22 | 2.865 | 41 |
| 34.41 | 2.606 | 100 |
| 34.69 | 2.586 | 82 |
| 34.85 | 2.574 | 46 |
| 35.67 | 2.517 | 78 |
| 41.09 | 2.197 | 47 |
| 41.27 | 2.188 | 74 |
| 43.05 | 2.101 | 42 |

=====

Computed X-ray diffraction stick pattern
Compound: Pm3ErTm6Sc2
Radiation: Cu Kα
Structure: the GGA-PBE geometry in Alexandria
Peak positions follow from Bragg's law for the DFT cell and can differ from measured ones.

Cell and atoms:
Lattice parameters (Å, degrees): 6.0966 6.0966 11.2250 90.03 90.03 120.05
Sites, in units of the cell vectors:
1 Pm 0.0000 0.0000 0.0000
2 Pm 0.3333 0.6667 0.0000
3 Pm 0.6667 0.3333 0.0000
4 Er 0.0000 0.0000 0.5000
5 Tm 0.9996 0.3355 0.2577
6 Tm 0.0004 0.6645 0.7423
7 Tm 0.3355 0.9996 0.2577
8 Tm 0.3361 0.3361 0.7423
9 Tm 0.6639 0.6639 0.2577
10 Tm 0.6645 0.0004 0.7423
11 Sc 0.3333 0.6667 0.5000
12 Sc 0.6667 0.3333 0.5000

Principal peaks in the range 2θ from 10° to 90°, low angle first:
| 2θ (°) | d (Å) | I/Imax |
| --- | --- | --- |
| 30.39 | 2.941 | 72 |
| 31.89 | 2.806 | 37 |
| 33.46 | 2.678 | 100 |
| 38.08 | 2.363 | 37 |
| 50.49 | 1.808 | 18 |
| 51.97 | 1.759 | 29 |
| 57.84 | 1.594 | 22 |
| 62.28 | 1.491 | 33 |
| 63.24 | 1.471 | 16 |
| 86.18 | 1.128 | 11 |